No. 1
Diffraction record for Ac3AlOs3. The powder diffraction line list is computed, not measured: it uses the GGA-PBE geometry in Alexandria and Cu Kα (weighted mean of Kα1 and Kα2).

Structure:
```
data_Ac3AlOs3
_chemical_formula_sum 'Ac12 Al4 Os12'
_cell_length_a 4.574
_cell_length_b 11.481
_cell_length_c 13.719
_cell_angle_alpha 90.00
_cell_angle_beta 90.00
_cell_angle_gamma 90.00
_space_group_name_H-M_alt 'C m c m'
_space_group_IT_number 63
_space_group_name_Hall '-C 2c 2'
loop_
_atom_site_label
_atom_site_type_symbol
_atom_site_fract_x
_atom_site_fract_y
_atom_site_fract_z
Ac1 Ac 0.000 0.029 0.250
Ac2 Ac 0.000 0.265 0.607
Al1 Al 0.000 0.000 0.000
Os1 Os 0.000 0.351 0.250
Os2 Os 0.000 0.442 0.085
```

Top 10 peaks for 2θ from 10° to 90°, low angle first:
| hkl | two_theta | I (rel.) |
| --- | --- | --- |
| 1 1 2 | 24.6 | 28 |
| 1 1 3 | 28.7 | 59 |
| 0 2 4 | 30.4 | 37 |
| 1 3 1 | 31.2 | 100 |
| 1 3 2 | 33.2 | 31 |
| 1 3 3 | 36.4 | 49 |
| 0 4 3 | 37.0 | 44 |
| 2 0 0 | 39.4 | 82 |
| 2 4 3 | 55.1 | 28 |
| 1 3 7 | 56.5 | 27 |

=====

No. 2
Diffraction record for Ac2AlPPt6. The powder diffraction line list is computed, not measured: it uses the GGA-PBE geometry in Alexandria and Cu Kα (weighted mean of Kα1 and Kα2).

Structure:
```
data_Ac2AlPPt6
_chemical_formula_sum 'Ac4 Al2 P2 Pt12'
_cell_length_a 6.106
_cell_length_b 6.106
_cell_length_c 10.755
_cell_angle_alpha 90.00
_cell_angle_beta 90.00
_cell_angle_gamma 90.00
_space_group_name_H-M_alt 'I 4 m m'
_space_group_IT_number 107
_space_group_name_Hall 'I 4 -2'
loop_
_atom_site_label
_atom_site_type_symbol
_atom_site_fract_x
_atom_site_fract_y
_atom_site_fract_z
Ac1 Ac 0.000 0.500 0.000
Al1 Al 0.000 0.000 0.339
P1 P 0.000 0.000 0.865
Pt1 Pt 0.000 0.000 0.082
Pt2 Pt 0.000 0.000 0.562
Pt3 Pt 0.238 0.238 0.746
```

Top 10 peaks for 2θ from 10° to 90°, low angle first:
| hkl | two_theta | I (rel.) |
| --- | --- | --- |
| 1 1 2 | 26.5 | 10 |
| 0 0 4 | 33.3 | 16 |
| 2 0 2 | 33.8 | 100 |
| 1 1 4 | 39.5 | 15 |
| 2 2 0 | 41.8 | 36 |
| 2 0 4 | 44.9 | 9 |
| 2 2 4 | 54.5 | 15 |
| 3 1 4 | 58.9 | 10 |
| 4 0 0 | 60.7 | 12 |
| 4 2 2 | 71.3 | 23 |

=====

No. 3
Diffraction record for Ac3AlP2Pt9. The powder diffraction line list is computed, not measured: it uses the GGA-PBE geometry in Alexandria and Cu Kα (weighted mean of Kα1 and Kα2).

Structure:
```
data_Ac3AlP2Pt9
_chemical_formula_sum 'Ac3 Al1 P2 Pt9'
_cell_length_a 6.4505
_cell_length_b 6.4505
_cell_length_c 8.8655
_cell_angle_alpha 90.00
_cell_angle_beta 90.00
_cell_angle_gamma 120.00
_space_group_name_H-M_alt 'P -3 m 1'
_space_group_IT_number 164
_space_group_name_Hall '-P 3 2"'
loop_
_atom_site_label
_atom_site_type_symbol
_atom_site_fract_x
_atom_site_fract_y
_atom_site_fract_z
Ac1 Ac 0.0000 0.0000 0.0000
Ac2 Ac 0.3333 0.6667 0.6468
Al1 Al 0.0000 0.0000 0.5000
P1 P 0.3333 0.6667 0.1772
Pt1 Pt 0.0000 0.5000 0.0000
Pt2 Pt 0.1486 0.2971 0.2889
```

Top 10 peaks for 2θ from 10° to 90°, low angle first:
| hkl | two_theta | I (rel.) |
| --- | --- | --- |
| 1 0 2 | 25.7 | 9 |
| 0 0 3 | 30.2 | 32 |
| 0 2 1 | 33.6 | 100 |
| 2 0 2 | 38.1 | 78 |
| 0 2 4 | 52.7 | 19 |
| 2 2 0 | 57.1 | 25 |
| 2 0 5 | 62.0 | 11 |
| 2 2 3 | 66.0 | 19 |
| 4 0 1 | 67.9 | 11 |
| 0 4 2 | 70.7 | 12 |

=====

No. 4
Diffraction record for AcAlP2S8. The powder diffraction line list is computed, not measured: it uses the GGA-PBE geometry in Alexandria and Cu Kα (weighted mean of Kα1 and Kα2).

Structure:
```
data_AcAlP2S8
_chemical_formula_sum 'Ac1 Al1 P2 S8'
_cell_length_a 5.8915
_cell_length_b 5.8915
_cell_length_c 8.5282
_cell_angle_alpha 90.00
_cell_angle_beta 90.00
_cell_angle_gamma 120.00
_space_group_name_H-M_alt 'P -3'
_space_group_IT_number 147
_space_group_name_Hall '-P 3'
loop_
_atom_site_label
_atom_site_type_symbol
_atom_site_fract_x
_atom_site_fract_y
_atom_site_fract_z
Ac1 Ac 0.0000 0.0000 0.0000
Al1 Al 0.0000 0.0000 0.5000
P1 P 0.3333 0.6667 0.7431
S1 S 0.0027 0.3148 0.6838
S2 S 0.3333 0.6667 0.9814
```

Top 10 peaks for 2θ from 10° to 90°, low angle first:
| hkl | two_theta | I (rel.) |
| --- | --- | --- |
| 0 0 1 | 10.4 | 57 |
| 1 0 0 | 17.4 | 74 |
| 1 0 1 | 20.3 | 74 |
| 1 0 2 | 27.3 | 75 |
| 1 1 0 | 30.3 | 40 |
| 0 0 3 | 31.5 | 32 |
| 1 1 1 | 32.1 | 100 |
| 2 -1 2 | 37.1 | 69 |
| 0 2 2 | 41.2 | 31 |
| 1 1 4 | 53.0 | 35 |

=====

No. 5
Diffraction record for Ac2Al2Si2P. The powder diffraction line list is computed, not measured: it uses the GGA-PBE geometry in Alexandria and Cu Kα (weighted mean of Kα1 and Kα2).

Structure:
```
data_Ac2Al2Si2P
_chemical_formula_sum 'Ac2 Al2 Si2 P1'
_cell_length_a 4.224
_cell_length_b 6.647
_cell_length_c 7.084
_cell_angle_alpha 67.10
_cell_angle_beta 72.97
_cell_angle_gamma 72.18
_space_group_name_H-M_alt 'P -1'
_space_group_IT_number 2
_space_group_name_Hall '-P 1'
loop_
_atom_site_label
_atom_site_type_symbol
_atom_site_fract_x
_atom_site_fract_y
_atom_site_fract_z
Ac1 Ac 0.071 0.190 0.174
Al1 Al 0.286 0.338 0.589
Si1 Si 0.323 0.634 0.216
P1 P 0.500 0.000 0.500
```

Top 10 peaks for 2θ from 10° to 90°, low angle first:
| hkl | two_theta | I (rel.) |
| --- | --- | --- |
| 0 1 1 | 16.6 | 63 |
| 1 0 0 | 22.6 | 61 |
| 1 1 1 | 22.7 | 61 |
| 0 1 -1 | 23.5 | 64 |
| 0 1 2 | 26.9 | 59 |
| 0 2 1 | 28.5 | 85 |
| 1 0 -1 | 28.9 | 53 |
| 1 1 2 | 29.0 | 50 |
| 1 0 2 | 32.4 | 100 |
| 1 -1 1 | 33.1 | 51 |

=====

No. 6
Diffraction record for Ac2PaAlRh6. The powder diffraction line list is computed, not measured: it uses the GGA-PBE geometry in Alexandria and Cu Kα (weighted mean of Kα1 and Kα2).

Structure:
```
data_Ac2PaAlRh6
_chemical_formula_sum 'Ac2 Pa1 Al1 Rh6'
_cell_length_a 5.794
_cell_length_b 6.494
_cell_length_c 6.703
_cell_angle_alpha 108.41
_cell_angle_beta 102.37
_cell_angle_gamma 109.78
_space_group_name_H-M_alt 'P -1'
_space_group_IT_number 2
_space_group_name_Hall '-P 1'
loop_
_atom_site_label
_atom_site_type_symbol
_atom_site_fract_x
_atom_site_fract_y
_atom_site_fract_z
Ac1 Ac 0.035 0.186 0.304
Pa1 Pa 0.500 0.500 0.000
Al1 Al 0.500 0.000 0.500
Rh1 Rh 0.003 0.364 0.776
Rh2 Rh 0.379 0.844 0.083
Rh3 Rh 0.418 0.673 0.652
```

Top 10 peaks for 2θ from 10° to 90°, low angle first:
| hkl | two_theta | I (rel.) |
| --- | --- | --- |
| 0 1 1 | 26.2 | 34 |
| 0 1 -2 | 27.5 | 79 |
| 1 0 -2 | 28.9 | 51 |
| 0 2 -1 | 29.2 | 58 |
| -2 1 1 | 32.5 | 34 |
| 2 0 0 | 35.3 | 72 |
| -1 2 1 | 36.2 | 75 |
| 2 0 -2 | 37.4 | 37 |
| 2 -2 1 | 38.7 | 100 |
| 1 0 2 | 40.3 | 48 |

=====

No. 7
Diffraction record for Ac2AlPb. The powder diffraction line list is computed, not measured: it uses the GGA-PBE geometry in Alexandria and Cu Kα (weighted mean of Kα1 and Kα2).

Structure:
```
data_Ac2AlPb
_chemical_formula_sum 'Ac4 Al2 Pb2'
_cell_length_a 6.692
_cell_length_b 4.519
_cell_length_c 9.687
_cell_angle_alpha 90.00
_cell_angle_beta 107.86
_cell_angle_gamma 90.00
_space_group_name_H-M_alt 'P 1 21/m 1'
_space_group_IT_number 11
_space_group_name_Hall '-P 2yb'
loop_
_atom_site_label
_atom_site_type_symbol
_atom_site_fract_x
_atom_site_fract_y
_atom_site_fract_z
Ac1 Ac 0.201 0.250 0.423
Ac2 Ac 0.277 0.750 0.064
Al1 Al 0.142 0.250 0.786
Pb1 Pb 0.367 0.750 0.712
```

Top 10 peaks for 2θ from 10° to 90°, low angle first:
| hkl | two_theta | I (rel.) |
| --- | --- | --- |
| 1 1 -1 | 24.4 | 20 |
| 1 1 1 | 27.6 | 100 |
| 1 0 -3 | 28.1 | 42 |
| 2 0 -2 | 28.8 | 26 |
| 1 1 -3 | 34.5 | 53 |
| 2 1 -2 | 35.1 | 21 |
| 1 0 3 | 36.1 | 28 |
| 0 2 0 | 39.9 | 22 |
| 1 2 -3 | 49.5 | 19 |
| 1 2 3 | 54.9 | 25 |

=====

No. 8
Diffraction record for Ac12Al2Pb5. The powder diffraction line list is computed, not measured: it uses the GGA-PBE geometry in Alexandria and Cu Kα (weighted mean of Kα1 and Kα2).

Structure:
```
data_Ac12Al2Pb5
_chemical_formula_sum 'Ac24 Al4 Pb10'
_cell_length_a 19.489
_cell_length_b 8.112
_cell_length_c 10.646
_cell_angle_alpha 90.00
_cell_angle_beta 104.51
_cell_angle_gamma 90.00
_space_group_name_H-M_alt 'C 1 2/m 1'
_space_group_IT_number 12
_space_group_name_Hall '-C 2y'
loop_
_atom_site_label
_atom_site_type_symbol
_atom_site_fract_x
_atom_site_fract_y
_atom_site_fract_z
Ac1 Ac 0.004 0.000 0.284
Ac2 Ac 0.011 0.500 0.824
Ac3 Ac 0.150 0.257 0.572
Ac4 Ac 0.166 0.243 0.092
Al1 Al 0.000 0.162 0.000
Pb1 Pb 0.000 0.500 0.500
Pb2 Pb 0.183 0.000 0.834
Pb3 Pb 0.200 0.000 0.363
```

Top 10 peaks for 2θ from 10° to 90°, low angle first:
| hkl | two_theta | I (rel.) |
| --- | --- | --- |
| 3 1 0 | 17.8 | 47 |
| 1 1 -2 | 20.0 | 57 |
| 0 2 2 | 28.0 | 57 |
| 2 2 -2 | 28.1 | 73 |
| 6 0 0 | 28.4 | 100 |
| 4 2 0 | 29.0 | 99 |
| 2 2 2 | 31.0 | 62 |
| 4 2 -2 | 31.3 | 55 |
| 2 0 -4 | 33.7 | 61 |
| 0 4 0 | 44.7 | 51 |

=====

No. 9
Diffraction record for Ac6Al2Pb. The powder diffraction line list is computed, not measured: it uses the GGA-PBE geometry in Alexandria and Cu Kα (weighted mean of Kα1 and Kα2).

Structure:
```
data_Ac6Al2Pb
_chemical_formula_sum 'Ac24 Al8 Pb4'
_cell_length_a 10.847
_cell_length_b 10.899
_cell_length_c 11.557
_cell_angle_alpha 90.00
_cell_angle_beta 90.00
_cell_angle_gamma 90.00
_space_group_name_H-M_alt 'I m m m'
_space_group_IT_number 71
_space_group_name_Hall '-I 2 2'
loop_
_atom_site_label
_atom_site_type_symbol
_atom_site_fract_x
_atom_site_fract_y
_atom_site_fract_z
Ac1 Ac 0.000 0.203 0.241
Ac2 Ac 0.206 0.500 0.176
Ac3 Ac 0.226 0.319 0.500
Al1 Al 0.000 0.371 0.000
Al2 Al 0.000 0.500 0.385
Pb1 Pb 0.000 0.000 0.000
Pb2 Pb 0.000 0.000 0.500
```

Top 10 peaks for 2θ from 10° to 90°, low angle first:
| hkl | two_theta | I (rel.) |
| --- | --- | --- |
| 0 1 3 | 24.5 | 22 |
| 0 3 1 | 25.7 | 19 |
| 3 1 0 | 26.0 | 25 |
| 2 2 2 | 27.9 | 100 |
| 2 1 3 | 29.6 | 28 |
| 1 3 2 | 30.2 | 35 |
| 2 3 1 | 30.6 | 32 |
| 4 0 0 | 33.1 | 30 |
| 0 6 0 | 50.2 | 18 |
| 5 3 2 | 51.6 | 20 |

=====

No. 10
Diffraction record for Ac2AlPb3. The powder diffraction line list is computed, not measured: it uses the GGA-PBE geometry in Alexandria and Cu Kα (weighted mean of Kα1 and Kα2).

Structure:
```
data_Ac2AlPb3
_chemical_formula_sum 'Ac2 Al1 Pb3'
_cell_length_a 4.538
_cell_length_b 4.702
_cell_length_c 9.479
_cell_angle_alpha 90.00
_cell_angle_beta 90.00
_cell_angle_gamma 90.00
_space_group_name_H-M_alt 'P m m 2'
_space_group_IT_number 25
_space_group_name_Hall 'P 2 -2'
loop_
_atom_site_label
_atom_site_type_symbol
_atom_site_fract_x
_atom_site_fract_y
_atom_site_fract_z
Ac1 Ac 0.000 0.000 0.000
Ac2 Ac 0.000 0.500 0.460
Al1 Al 0.500 0.000 0.315
Pb1 Pb 0.500 0.000 0.615
Pb2 Pb 0.500 0.500 0.157
Pb3 Pb 0.500 0.500 0.821
```

Top 10 peaks for 2θ from 10° to 90°, low angle first:
| hkl | two_theta | I (rel.) |
| --- | --- | --- |
| 1 0 2 | 27.2 | 43 |
| 1 1 1 | 28.9 | 100 |
| 0 1 3 | 34.2 | 52 |
| 0 2 0 | 38.3 | 22 |
| 2 0 0 | 39.7 | 23 |
| 1 0 4 | 43.1 | 17 |
| 1 2 2 | 47.6 | 20 |
| 2 1 3 | 53.4 | 30 |
| 2 2 0 | 56.4 | 15 |
| 3 1 1 | 65.6 | 18 |

=====

No. 11
Diffraction record for Ac3Al2Pd9. The powder diffraction line list is computed, not measured: it uses the GGA-PBE geometry in Alexandria and Cu Kα (weighted mean of Kα1 and Kα2).

Structure:
```
data_Ac3Al2Pd9
_chemical_formula_sum 'Ac6 Al4 Pd18'
_cell_length_a 4.223
_cell_length_b 10.768
_cell_length_c 12.741
_cell_angle_alpha 90.00
_cell_angle_beta 90.00
_cell_angle_gamma 90.00
_space_group_name_H-M_alt 'I m m m'
_space_group_IT_number 71
_space_group_name_Hall '-I 2 2'
loop_
_atom_site_label
_atom_site_type_symbol
_atom_site_fract_x
_atom_site_fract_y
_atom_site_fract_z
Ac1 Ac 0.000 0.000 0.000
Ac2 Ac 0.000 0.000 0.315
Al1 Al 0.000 0.237 0.500
Pd1 Pd 0.000 0.284 0.114
Pd2 Pd 0.000 0.369 0.330
Pd3 Pd 0.000 0.500 0.000
```

Top 10 peaks for 2θ from 10° to 90°, low angle first:
| hkl | two_theta | I (rel.) |
| --- | --- | --- |
| 1 0 3 | 29.8 | 44 |
| 1 3 0 | 32.7 | 100 |
| 1 2 3 | 34.3 | 75 |
| 0 0 6 | 42.6 | 15 |
| 2 0 0 | 42.8 | 30 |
| 0 3 5 | 43.6 | 14 |
| 0 5 3 | 47.3 | 18 |
| 2 3 3 | 54.9 | 21 |
| 1 6 3 | 60.1 | 15 |
| 2 5 3 | 65.7 | 16 |

=====

No. 12
Diffraction record for Ac3Al3Pd2. The powder diffraction line list is computed, not measured: it uses the GGA-PBE geometry in Alexandria and Cu Kα (weighted mean of Kα1 and Kα2).

Structure:
```
data_Ac3Al3Pd2
_chemical_formula_sum 'Ac12 Al12 Pd8'
_cell_length_a 8.523
_cell_length_b 16.161
_cell_length_c 6.040
_cell_angle_alpha 90.00
_cell_angle_beta 90.00
_cell_angle_gamma 90.00
_space_group_name_H-M_alt 'P n m a'
_space_group_IT_number 62
_space_group_name_Hall '-P 2ac 2n'
loop_
_atom_site_label
_atom_site_type_symbol
_atom_site_fract_x
_atom_site_fract_y
_atom_site_fract_z
Ac1 Ac 0.034 0.110 0.113
Ac2 Ac 0.176 0.250 0.593
Al1 Al 0.169 0.035 0.599
Al2 Al 0.178 0.750 0.579
Pd1 Pd 0.119 0.601 0.369
```

Top 10 peaks for 2θ from 10° to 90°, low angle first:
| hkl | two_theta | I (rel.) |
| --- | --- | --- |
| 1 3 1 | 24.5 | 72 |
| 2 1 1 | 26.2 | 42 |
| 1 4 1 | 28.6 | 66 |
| 2 4 0 | 30.5 | 99 |
| 1 1 2 | 31.9 | 100 |
| 0 6 0 | 33.3 | 46 |
| 2 4 1 | 34.0 | 55 |
| 3 0 1 | 34.9 | 77 |
| 1 3 2 | 35.7 | 77 |
| 1 7 2 | 50.9 | 54 |